Structure and theoretical powder XRD pattern of VCrAs2O8 (a crystal structure in Alexandria, relaxed with GGA+U; Cu Ka).

a b c (Å): 5.6193 5.6193 5.6193
angles (deg): 107.66 107.66 113.16
Sites, in units of the cell vectors:
V  0.0000  0.0000  0.0000
Cr  0.2500  0.7500  0.5000
As  0.5000  0.5000  0.0000
As  0.7500  0.2500  0.5000
O  0.3030  0.1181  0.8150
O  0.3030  0.4880  0.1850
O  0.3722  0.0670  0.3052
O  0.5120  0.6970  0.8150
O  0.7617  0.0670  0.6948
O  0.8819  0.6970  0.1850
O  0.9330  0.2383  0.3052
O  0.9330  0.6278  0.6948

Most intense lines, 2θ = 10–90°, in order of rising 2θ:
2theta	I/Imax
26.9	100
33.5	17
34.7	64
38.4	13
52.7	59
55.4	16
62.6	11
66.7	12
67.1	19
73.3	9
80.0	9
85.9	6